Theoretical X-ray powder pattern of Nd6TlFe13 for a wavelength of 1.5418 Å, from a structure optimized by DFT (GGA-PBE).
Peak positions follow from Bragg's law for the DFT cell and can differ from measured ones.

Atomic structure:
```
Nd6TlFe13
1.0
-4.038 4.038 11.728
4.038 -4.038 11.728
4.038 4.038 -11.728
Nd Tl Fe
12 2 26
Direct
0.022 0.522 0.174
0.105 0.105 0.000
0.152 0.978 0.500
0.348 0.848 0.826
0.395 0.395 0.000
0.478 0.652 0.500
0.522 0.348 0.500
0.605 0.605 0.000
0.652 0.152 0.174
0.848 0.022 0.500
0.895 0.895 0.000
0.978 0.478 0.826
0.250 0.250 0.000
0.750 0.750 0.000
0.000 0.500 0.500
0.019 0.293 0.500
0.066 0.210 0.276
0.120 0.620 0.858
0.207 0.481 0.500
0.210 0.934 0.144
0.238 0.738 0.858
0.262 0.120 0.500
0.290 0.434 0.724
0.293 0.793 0.274
0.380 0.238 0.500
0.434 0.710 0.144
0.481 0.981 0.274
0.500 0.000 0.500
0.519 0.019 0.726
0.566 0.290 0.856
0.620 0.762 0.500
0.707 0.207 0.726
0.710 0.566 0.276
0.738 0.880 0.500
0.762 0.262 0.142
0.790 0.066 0.856
0.793 0.519 0.500
0.880 0.380 0.142
0.934 0.790 0.724
0.981 0.707 0.500
```

Peak list (6 most intense, 2θ = 15–90°, sorted by position)
2θ = 27.2°, I 682
2θ = 31.3°, I 1000
2θ = 31.9°, I 432
2θ = 35.1°, I 942
2θ = 37.9°, I 656
2θ = 42.8°, I 414